Computed X-ray diffraction stick pattern of LiMn2B2O6 for Cu Kα (λ = 1.5418 Å), from a GGA+U-relaxed structure.
No peak broadening, texture or thermal motion is included.

Structural model:
abc: 5.791 9.161 12.452
angles: 75.21 88.06 76.04
Element x y z (fractional)
Li1 0.000 0.000 0.000
Li2 0.073 0.681 0.411
Li3 0.270 0.084 0.610
Li4 0.478 0.482 0.810
Li5 0.867 0.282 0.208
Mn1 0.002 0.366 0.419
Mn2 0.074 0.332 0.993
Mn3 0.194 0.766 0.613
Mn4 0.287 0.705 0.202
Mn5 0.406 0.161 0.823
Mn6 0.475 0.105 0.394
Mn7 0.594 0.594 0.012
Mn8 0.682 0.505 0.599
Mn9 0.788 0.960 0.211
Mn10 0.869 0.900 0.795
B1 0.073 0.666 0.997
B2 0.203 0.420 0.623
B3 0.261 0.051 0.191
B4 0.396 0.823 0.813
B5 0.472 0.447 0.402
B6 0.604 0.238 0.018
B7 0.664 0.850 0.598
B8 0.809 0.616 0.224
B9 0.874 0.245 0.804
B10 0.997 0.023 0.417
O1 0.016 0.820 0.953
O2 0.038 0.487 0.532
O3 0.058 0.865 0.460
O4 0.074 0.178 0.881
O5 0.104 0.121 0.456
O6 0.134 0.947 0.166
O7 0.182 0.205 0.153
O8 0.220 0.887 0.727
O9 0.259 0.263 0.667
O10 0.273 0.594 0.069
O11 0.310 0.519 0.660
O12 0.343 0.343 0.385
O13 0.393 0.602 0.363
O14 0.430 0.297 0.930
O15 0.459 0.665 0.859
O16 0.461 0.985 0.264
O17 0.510 0.923 0.842
O18 0.537 0.744 0.583
O19 0.585 0.004 0.557
O20 0.637 0.679 0.138
O21 0.679 0.383 0.471
O22 0.681 0.080 0.058
O23 0.705 0.341 0.052
O24 0.747 0.139 0.788
O25 0.799 0.399 0.762
O26 0.831 0.087 0.327
O27 0.870 0.784 0.667
O28 0.876 0.458 0.265
O29 0.911 0.718 0.262
O30 0.935 0.569 0.977

Peak list (12 most intense, 10 to 80 degrees two-theta, sorted by position)
two_theta, I (rel.)
20.1, 100.0
20.8, 22.7
21.9, 49.1
22.8, 64.2
34.0, 50.7
34.2, 18.7
34.8, 65.2
37.4, 33.0
39.7, 22.1
40.3, 16.8
40.8, 25.7
53.2, 18.2

---

Computed X-ray diffraction stick pattern of LiMn2B2O6 for Cu Kα (λ = 1.5418 Å), from a GGA+U-relaxed structure.
No peak broadening, texture or thermal motion is included.

Structural model:
abc: 5.297 5.800 16.436
angles: 80.82 89.96 89.38
Element x y z (fractional)
Li1 0.000 0.000 0.000
Li2 0.005 0.503 0.501
Li3 0.329 0.382 0.734
Li4 0.498 0.248 0.253
Mn1 0.358 0.986 0.408
Mn2 0.364 0.497 0.906
Mn3 0.475 0.160 0.077
Mn4 0.480 0.658 0.580
Mn5 0.845 0.219 0.650
Mn6 0.856 0.737 0.156
Mn7 0.966 0.895 0.822
Mn8 0.974 0.403 0.327
B1 0.340 0.158 0.572
B2 0.346 0.664 0.069
B3 0.490 0.989 0.913
B4 0.495 0.489 0.411
B5 0.842 0.400 0.815
B6 0.846 0.908 0.319
B7 0.992 0.728 0.658
B8 0.995 0.240 0.160
O1 0.091 0.188 0.558
O2 0.094 0.693 0.062
O3 0.248 0.695 0.669
O4 0.254 0.229 0.169
O5 0.343 0.860 0.869
O6 0.356 0.617 0.462
O7 0.359 0.133 0.961
O8 0.364 0.369 0.358
O9 0.472 0.304 0.619
O10 0.477 0.493 0.033
O11 0.480 0.994 0.535
O12 0.496 0.816 0.106
O13 0.589 0.408 0.811
O14 0.594 0.940 0.313
O15 0.751 0.974 0.915
O16 0.754 0.475 0.419
O17 0.851 0.366 0.211
O18 0.861 0.608 0.604
O19 0.864 0.868 0.705
O20 0.867 0.121 0.107
O21 0.972 0.736 0.283
O22 0.986 0.239 0.775
O23 0.989 0.551 0.853
O24 0.997 0.059 0.357

Peak list (12 most intense, 10 to 80 degrees two-theta, sorted by position)
two_theta, I (rel.)
20.0, 100.0
20.7, 22.1
21.9, 48.9
22.8, 64.0
33.9, 51.6
34.1, 18.2
34.9, 63.7
37.3, 23.3
39.5, 22.0
40.7, 29.3
53.1, 19.9
53.7, 18.3